# 1
Simulated powder diffractogram of Mg16Al12Hg for Cu Kα (weighted mean of Kα1 and Kα2), from a GGA-PBE-relaxed structure.
Neutral-atom scattering factors, no anomalous dispersion.

Main lines, sorted by position (2θ from 15° to 90°):
2θ/deg, I_rel, h k l
16.84, 38.7, 0 2 1
20.70, 60.0, 1 3 0
26.72, 29.0, 0 2 2
26.84, 26.4, 1 3 -2
36.06, 100.0, 4 0 -1
36.23, 80.7, 4 2 -2
36.33, 67.9, 3 3 -3
40.33, 26.5, 3 5 -2
43.95, 27.6, 4 2 -4
65.17, 31.3, 7 3 -4

Structural model:
Lattice parameters (Å, degrees): 10.539 14.795 9.116 90.00 124.83 90.00
Space group Cm (No. 8)
Symmetry-distinct sites (fractional):
Mg 0.000 0.000 0.000 (multiplicity 2)
Mg 0.003 0.000 0.343 (multiplicity 2)
Mg 0.060 0.344 0.403 (multiplicity 4)
Mg 0.150 0.500 0.667 (multiplicity 2)
Mg 0.155 0.158 0.602 (multiplicity 4)
Mg 0.174 0.175 0.996 (multiplicity 4)
Mg 0.191 0.500 0.293 (multiplicity 2)
Mg 0.302 0.299 0.319 (multiplicity 4)
Mg 0.461 0.137 0.000 (multiplicity 4)
Mg 0.485 0.195 0.685 (multiplicity 4)
Al 0.006 0.186 0.189 (multiplicity 4)
Al 0.180 0.000 0.820 (multiplicity 2)
Al 0.234 0.408 0.010 (multiplicity 4)
Al 0.273 0.094 0.359 (multiplicity 4)
Al 0.319 0.314 0.819 (multiplicity 4)
Al 0.368 0.000 0.179 (multiplicity 2)
Al 0.407 0.407 0.637 (multiplicity 4)
Hg 0.376 0.000 0.697 (multiplicity 2)

# 2
Simulated powder diffractogram of K4Sn23 for Cu Kα (weighted mean of Kα1 and Kα2), from a GGA-PBE-relaxed structure.
Neutral-atom scattering factors, no anomalous dispersion.

Main lines, sorted by position (2θ from 15° to 90°):
2θ/deg, I_rel, h k l
15.73, 46.5, 2 1 0
17.24, 31.0, 2 1 1
24.47, 34.0, 2 2 2
25.49, 31.3, 3 2 0
26.47, 100.0, 3 2 1
29.22, 32.4, 4 1 0
41.80, 93.1, 5 3 0
42.44, 31.4, 5 3 1
43.07, 29.1, 6 0 0
44.31, 61.1, 5 3 2

Structural model:
Lattice parameters (Å, degrees): 12.601 12.601 12.601 90.00 90.00 90.00
Space group Pm-3n (No. 223)
Symmetry-distinct sites (fractional):
K 0.000 0.000 0.000 (multiplicity 2)
K 0.000 0.250 0.500 (multiplicity 6)
Sn 0.000 0.308 0.117 (multiplicity 24)
Sn 0.000 0.500 0.250 (multiplicity 6)
Sn 0.184 0.184 0.184 (multiplicity 16)